Diffraction record for TiPtI. The powder X-ray diffraction pattern is calculated, not measured: it uses a cell relaxed with PBE and CuKα.
Intensities are scaled so that the largest is 100.

Peak list (6 most intense, 2θ from 10° to 90°, sorted by position)
d_spacing, 2theta, I/Imax, h k l
3.098, 28.81, 100, 1 0 0
3.058, 29.20, 16, 0 0 4
2.176, 41.49, 69, 1 0 4
1.789, 51.06, 31, 1 1 0
1.382, 67.81, 16, 2 0 4
1.094, 89.65, 16, 2 1 4

Crystal structure
Cell: 3.5777 3.5777 12.2319 Å, 90.00 90.00 120.00°
Space group P-6m2 (No. 187)
Inequivalent atoms, fractional coordinates:
Ti (0.0000, 0.0000, 0.1317) x2
Pt (0.3333, 0.6667, 0.0000) x1
Pt (0.3333, 0.6667, 0.5000) x1
I (0.3333, 0.6667, 0.2905) x2

---

Diffraction record for CdO3. The powder X-ray diffraction pattern is calculated, not measured: it uses a cell relaxed with PBE and CuKα.
Intensities are scaled so that the largest is 100.

Peak list (6 most intense, 2θ from 10° to 90°, sorted by position)
d_spacing, 2theta, I/Imax, h k l
3.359, 26.53, 100, 1 1 1
2.975, 30.04, 37, 0 2 0
2.951, 30.28, 37, 2 0 0
2.810, 31.85, 38, 0 0 2
2.095, 43.18, 30, 2 2 0
1.680, 54.64, 27, 2 2 2

Crystal structure
Cell: 5.903 5.950 5.619 Å, 90.00 90.00 90.00°
Space group Aea2 (No. 41)
Inequivalent atoms, fractional coordinates:
Cd (0.000, 0.000, 0.000) x4
O (0.000, 0.000, 0.534) x4
O (0.138, 0.143, 0.381) x8

---

Diffraction record for MnCdAu4. The powder X-ray diffraction pattern is calculated, not measured: it uses a cell relaxed with PBE and CuKα.
Intensities are scaled so that the largest is 100.

Peak list (6 most intense, 2θ from 10° to 90°, sorted by position)
d_spacing, 2theta, I/Imax, h k l
4.497, 19.74, 48, 1 1 1
2.348, 38.33, 100, 3 1 1
2.248, 40.10, 69, 2 2 2
1.499, 61.90, 33, 5 1 1
1.377, 68.10, 32, 4 4 0
1.174, 82.07, 28, 6 2 2

Crystal structure
Cell: 7.789 7.789 7.789 Å, 90.00 90.00 90.00°
Space group F-43m (No. 216)
Inequivalent atoms, fractional coordinates:
Mn (0.000, 0.000, 0.000) x4
Cd (0.250, 0.250, 0.250) x4
Au (0.125, 0.125, 0.625) x16

---

Diffraction record for PmSm3Co8. The powder X-ray diffraction pattern is calculated, not measured: it uses a cell relaxed with PBE and CuKα.
Intensities are scaled so that the largest is 100.

Peak list (6 most intense, 2θ from 10° to 90°, sorted by position)
d_spacing, 2theta, I/Imax, h k l
2.570, 34.92, 63, 1 1 0
2.191, 41.19, 100, 2 0 2
2.098, 43.11, 16, 0 2 4
1.484, 62.61, 23, 3 0 0
1.399, 66.89, 30, 3 0 6
1.285, 73.74, 22, 2 2 0

Crystal structure
Cell: 5.1398 5.1398 25.1732 Å, 90.00 90.00 120.00°
Space group R3m (No. 160, hexagonal axes)
Inequivalent atoms, fractional coordinates:
Pm (0.0000, 0.0000, 0.0000) x3
Sm (0.0000, 0.0000, 0.3750) x3
Sm (0.0000, 0.0000, 0.5000) x3
Sm (0.0000, 0.0000, 0.8750) x3
Co (0.0000, 0.0000, 0.1874) x3
Co (0.0000, 0.0000, 0.6875) x3
Co (0.9997, 0.4998, 0.9372) x9
Co (0.0006, 0.5003, 0.4377) x9

---

Diffraction record for Ce2Pm2Br7. The powder X-ray diffraction pattern is calculated, not measured: it uses a cell relaxed with PBE and CuKα.
Intensities are scaled so that the largest is 100.

Peak list (6 most intense, 2θ from 10° to 90°, sorted by position)
d_spacing, 2theta, I/Imax, h k l
7.204, 12.29, 100, 1 1 0
5.345, 16.58, 84, 1 1 -1
4.868, 18.22, 98, 0 2 1
2.894, 30.89, 97, 2 0 2
2.720, 32.92, 92, 1 3 -2
2.673, 33.53, 75, 3 1 1

Crystal structure
Cell: 8.838 12.442 7.821 Å, 90.00 91.23 90.00°
Space group C2/m (No. 12)
Inequivalent atoms, fractional coordinates:
Ce (0.000, 0.146, 0.000) x4
Pm (0.197, 0.000, 0.365) x4
Br (0.000, 0.500, 0.500) x2
Br (0.133, 0.000, 0.733) x4
Br (0.219, 0.297, 0.781) x8